1.
Theoretical X-ray diffraction stick pattern
Compound: BaCaInAs2
Radiation: Cu Kα, 1.54184 Å
Structure: the GGA-PBE geometry in Alexandria
No peak broadening, texture or thermal motion is included.

Principal peaks in the range 5 to 70 degrees two-theta, in order of falling intensity:
(1 2 0), 31.03°, I 100; (1 0 -2), 26.23°, I 92; (2 1 1), 37.64°, I 43; (3 1 -1), 37.80°, I 43; (1 1 1), 27.15°, I 42; (2 1 -1), 27.28°, I 39; (2 0 -4), 53.98°, I 33; (2 2 -2), 41.13°, I 27; (1 1 -2), 29.84°, I 25; (1 2 -2), 38.87°, I 25

Atomic structure:
Unit cell a=7.719 b=6.333 c=6.796 alpha=90.00 beta=115.72 gamma=90.00
Space group P2/c (No. 13)
Unique sites:
Ba (0.000, 0.225, 0.250) x2
Ca (0.500, 0.499, 0.750) x2
In (0.500, 0.000, 0.000) x2
As (0.200, 0.274, 0.853) x4

***

2.
Theoretical X-ray diffraction stick pattern
Compound: Tl2CdCl8
Radiation: Cu Kα, 1.54184 Å
Structure: the GGA-PBE geometry in Alexandria
No peak broadening, texture or thermal motion is included.

Principal peaks in the range 5 to 70 degrees two-theta, in order of falling intensity:
(3 1 -1), 18.59°, I 100; (2 0 0), 13.57°, I 69; (2 2 -2), 24.19°, I 54; (1 1 1), 17.73°, I 47; (3 1 -3), 23.07°, I 40; (1 1 0), 11.99°, I 39; (3 3 -1), 33.90°, I 30; (6 2 0), 46.35°, I 29; (0 4 0), 40.11°, I 29; (2 0 -2), 13.84°, I 28

Atomic structure:
Unit cell a=17.576 b=8.995 c=12.844 alpha=90.00 beta=132.03 gamma=90.00
Space group C2/c (No. 15)
Unique sites:
Tl (0.080, 0.239, 0.035) x8
Cd (0.000, 0.499, 0.250) x4
Cl (0.088, 0.297, 0.705) x8
Cl (0.096, 0.274, 0.242) x8
Cl (0.142, 0.006, 0.549) x8
Cl (0.160, 0.466, 0.023) x8

***

3.
Theoretical X-ray diffraction stick pattern
Compound: Au2IBr2
Radiation: Cu Kα, 1.54184 Å
Structure: the GGA-PBE geometry in Alexandria
No peak broadening, texture or thermal motion is included.

Principal peaks in the range 5 to 70 degrees two-theta, in order of falling intensity:
(2 1 1), 27.98°, I 100; (1 0 1), 13.91°, I 88; (1 0 5), 37.71°, I 26; (2 2 4), 45.13°, I 22; (2 0 6), 49.96°, I 16; (0 0 4), 28.32°, I 16; (3 0 1), 37.26°, I 13; (3 3 2), 54.78°, I 13; (3 1 2), 41.27°, I 13; (2 1 3), 34.57°, I 13

Atomic structure:
Unit cell a=7.375 b=7.375 c=12.606 alpha=90.00 beta=90.00 gamma=90.00
Space group I4_1md (No. 109)
Unique sites:
Au (0.000, 0.311, 0.000) x8
I (0.000, 0.000, 0.572) x4
Br (0.000, 0.247, 0.195) x8

***

4.
Theoretical X-ray diffraction stick pattern
Compound: Rb2YTaBr6
Radiation: Cu Kα, 1.54184 Å
Structure: the GGA-PBE geometry in Alexandria
No peak broadening, texture or thermal motion is included.

Principal peaks in the range 5 to 70 degrees two-theta, in order of falling intensity:
(4 0 0), 32.60°, I 100; (4 4 0), 46.78°, I 71; (2 0 0), 16.14°, I 44; (2 2 0), 22.90°, I 44; (2 2 2), 28.14°, I 36; (4 4 4), 58.18°, I 24; (4 2 0), 36.58°, I 22; (4 2 2), 40.21°, I 20; (6 2 2), 55.48°, I 14; (1 1 1), 13.96°, I 13

Atomic structure:
Unit cell a=10.986 b=10.986 c=10.986 alpha=90.00 beta=90.00 gamma=90.00
Space group Fm-3m (No. 225)
Unique sites:
Rb (0.250, 0.250, 0.250) x8
Y (0.000, 0.000, 0.000) x4
Ta (0.000, 0.000, 0.500) x4
Br (0.000, 0.000, 0.257) x24

***

- What is the formula in the second record?
  Tl2CdCl8